No. 1
This entry pairs a crystal structure of Ba2Li6Ag3 with its computed XRD peak list. Radiation: Cu Kα. Structure: a crystal structure in Alexandria, relaxed with GGA-PBE.
Intensities are scaled so that the largest is 100.

Structure:
```
11
Lattice="8.6016 0.0000 0.0000 -4.3008 7.4492 0.0000 0.0000 0.0000 4.5058" Properties=species:S:1:pos:R:3 pbc="T T T"
Ba 0.0000 4.9661 0.0000
Ba 4.3008 2.4831 0.0000
Li -0.8443 1.4623 0.0000
Li -3.1915 5.5278 2.2529
Li 1.6886 0.0000 0.0000
Li 1.1093 1.9214 2.2529
Li 6.3829 0.0000 2.2529
Li 3.4565 5.9869 0.0000
Ag -1.6213 2.8082 2.2529
Ag 3.2426 0.0000 2.2529
Ag 2.6795 4.6410 2.2529
```

Principal peaks in the range 10 to 80 degrees two-theta, in order of rising 2θ:
d [Å]	I_rel
7.449	43
4.301	37
3.111	100
2.871	20
2.483	31
2.388	14
2.066	11
1.941	19
1.668	18
1.529	15

***

No. 2
This entry pairs a crystal structure of Hf2BN2 with its computed XRD peak list. Radiation: Cu Kα. Structure: a crystal structure in Alexandria, relaxed with GGA-PBE.
Intensities are scaled so that the largest is 100.

Structure:
```
5
Lattice="-1.8597 1.8597 5.1945 1.8597 -1.8597 5.1945 1.8597 1.8597 -5.1945" Properties=species:S:1:pos:R:3 pbc="T T T"
Hf 0.0000 0.0000 1.6311
Hf 0.0000 0.0000 8.7580
B 0.0000 0.0000 5.1945
N 1.8597 0.0000 2.5973
N 0.0000 1.8597 2.5973
```

Principal peaks in the range 10 to 80 degrees two-theta, in order of rising 2θ:
d [Å]	I_rel
5.195	30
3.502	64
2.630	49
2.535	100
1.860	23
1.848	21
1.642	15
1.499	40
1.446	18
1.378	9